[1]
# AgSn2Te4Au
Simulated X-ray diffraction stick pattern, Cu Kα, 1.54184 Å. Input: a cell relaxed with GGA-PBE.
Lines closer than 0.1° are merged.

Top 8 peaks for 10 to 90 degrees two-theta, in order of rising 2θ:
Position (°2θ), intensity
29.40, 100
29.56, 49
41.85, 58
42.23, 18
42.51, 36
51.82, 10
52.09, 20
60.99, 12

Structure:
```
AgSn2Te4Au
1.0
7.333 0.000 0.000
0.000 4.314 0.000
-2.485 0.000 7.057
Ag Sn Te Au
1 2 4 1
Direct
0.000 0.000 0.000
0.500 0.000 0.500
0.500 0.500 0.000
0.233 0.000 0.744
0.233 0.500 0.248
0.767 0.000 0.256
0.767 0.500 0.752
0.000 0.500 0.500
```


[2]
# Sr4AgAu3
Simulated X-ray diffraction stick pattern, Cu Kα, 1.54184 Å. Input: a cell relaxed with GGA-PBE.
Lines closer than 0.1° are merged.

Top 8 peaks for 10 to 90 degrees two-theta, in order of rising 2θ:
Position (°2θ), intensity
15.06, 22
21.44, 27
28.71, 62
30.42, 24
36.05, 100
38.27, 23
40.75, 19
55.50, 16

Structure:
```
Sr4AgAu3
1.0
4.429 0.000 0.000
0.000 4.704 0.000
0.000 0.000 11.762
Sr Ag Au
4 1 3
Direct
0.000 0.000 0.000
0.000 0.500 0.273
0.500 0.000 0.492
0.500 0.500 0.775
0.000 0.000 0.708
0.000 0.500 0.559
0.500 0.000 0.213
0.500 0.500 0.055
```


[3]
# Sr6Ag5Au
Simulated X-ray diffraction stick pattern, Cu Kα, 1.54184 Å. Input: a cell relaxed with GGA-PBE.
Lines closer than 0.1° are merged.

Top 8 peaks for 10 to 90 degrees two-theta, in order of rising 2θ:
Position (°2θ), intensity
32.24, 67
32.36, 100
32.55, 33
46.05, 12
57.42, 12
57.57, 25
57.81, 24
58.01, 12

Structure:
```
Sr6Ag5Au
1.0
5.528 0.000 0.000
0.000 7.884 0.000
-2.713 0.000 8.254
Sr Ag Au
6 5 1
Direct
0.000 0.244 0.000
0.000 0.756 0.000
0.336 0.248 0.672
0.336 0.752 0.672
0.664 0.248 0.328
0.664 0.752 0.328
0.167 0.500 0.334
0.171 0.000 0.343
0.500 0.500 0.000
0.829 0.000 0.657
0.833 0.500 0.666
0.500 0.000 0.000
```


[4]
# Sr2Ag15Au2
Simulated X-ray diffraction stick pattern, Cu Kα, 1.54184 Å. Input: a cell relaxed with GGA-PBE.
Lines closer than 0.1° are merged.

Top 8 peaks for 10 to 90 degrees two-theta, in order of rising 2θ:
Position (°2θ), intensity
12.16, 56
31.78, 46
32.79, 35
36.86, 78
37.07, 85
37.71, 48
41.59, 100
42.15, 37

Structure:
```
Sr2Ag15Au2
1.0
4.877 2.816 4.773
-4.877 2.816 4.773
0.000 -5.631 4.773
Sr Ag Au
2 15 2
Direct
0.164 0.164 0.164
0.836 0.836 0.836
0.000 0.500 0.500
0.153 0.153 0.654
0.153 0.654 0.153
0.202 0.500 0.798
0.202 0.798 0.500
0.346 0.847 0.847
0.500 0.000 0.500
0.500 0.202 0.798
0.500 0.500 0.000
0.500 0.798 0.202
0.654 0.153 0.153
0.798 0.202 0.500
0.798 0.500 0.202
0.847 0.346 0.847
0.847 0.847 0.346
0.399 0.399 0.399
0.601 0.601 0.601
```


[5]
# Sr2Zn4Ag3Au
Simulated X-ray diffraction stick pattern, Cu Kα, 1.54184 Å. Input: a cell relaxed with GGA-PBE.
Lines closer than 0.1° are merged.

Top 8 peaks for 10 to 90 degrees two-theta, in order of rising 2θ:
Position (°2θ), intensity
16.57, 20
31.82, 45
32.35, 100
39.41, 69
43.94, 42
51.52, 23
56.96, 23
67.04, 24

Structure:
```
Sr2Zn4Ag3Au
1.0
4.573 0.000 0.000
0.000 4.573 0.000
0.000 0.000 10.697
Sr Zn Ag Au
2 4 3 1
Direct
0.000 0.500 0.245
0.500 0.000 0.755
0.000 0.000 0.500
0.000 0.500 0.874
0.500 0.000 0.126
0.500 0.500 0.500
0.000 0.000 0.000
0.000 0.500 0.630
0.500 0.000 0.370
0.500 0.500 0.000
```


[6]
# Sr2ZnAgAu6
Simulated X-ray diffraction stick pattern, Cu Kα, 1.54184 Å. Input: a cell relaxed with GGA-PBE.
Lines closer than 0.1° are merged.

Top 8 peaks for 10 to 90 degrees two-theta, in order of rising 2θ:
Position (°2θ), intensity
19.19, 43
26.30, 28
27.12, 30
37.68, 86
37.87, 100
37.99, 26
42.73, 27
44.29, 26

Structure:
```
Sr2ZnAgAu6
1.0
5.525 0.000 0.000
2.747 6.493 0.000
2.749 -0.182 6.777
Sr Zn Ag Au
2 1 1 6
Direct
0.041 0.219 0.198
0.959 0.781 0.802
0.500 0.000 0.500
0.500 0.500 0.000
0.011 0.237 0.741
0.351 0.397 0.400
0.487 0.764 0.259
0.513 0.236 0.741
0.649 0.603 0.600
0.989 0.763 0.259
```


[7]
# Tb3Ag2Au8
Simulated X-ray diffraction stick pattern, Cu Kα, 1.54184 Å. Input: a cell relaxed with GGA-PBE.
Lines closer than 0.1° are merged.

Top 8 peaks for 10 to 90 degrees two-theta, in order of rising 2θ:
Position (°2θ), intensity
22.41, 51
33.90, 100
37.95, 53
38.67, 83
40.43, 72
45.24, 47
46.27, 58
69.30, 46

Structure:
```
Tb3Ag2Au8
1.0
2.712 1.566 11.901
-2.712 1.566 11.901
0.000 -3.131 11.901
Tb Ag Au
3 2 8
Direct
0.000 0.000 0.000
0.239 0.239 0.239
0.761 0.761 0.761
0.395 0.395 0.395
0.605 0.605 0.605
0.200 0.704 0.704
0.296 0.296 0.800
0.296 0.800 0.296
0.319 0.319 0.319
0.681 0.681 0.681
0.704 0.200 0.704
0.704 0.704 0.200
0.800 0.296 0.296
```


[8]
# Tb2Ag3Au
Simulated X-ray diffraction stick pattern, Cu Kα, 1.54184 Å. Input: a cell relaxed with GGA-PBE.
Lines closer than 0.1° are merged.

Top 8 peaks for 10 to 90 degrees two-theta, in order of rising 2θ:
Position (°2θ), intensity
33.79, 100
33.95, 50
37.66, 40
38.10, 75
51.60, 31
52.83, 15
65.52, 14
66.98, 28

Structure:
```
Tb2Ag3Au
1.0
3.466 0.000 0.000
0.000 4.777 0.000
0.000 0.000 8.151
Tb Ag Au
2 3 1
Direct
0.000 0.000 0.000
0.000 0.500 0.477
0.500 0.000 0.660
0.500 0.500 0.151
0.500 0.500 0.818
0.500 0.000 0.322
```


[9]
# TbAg2Au
Simulated X-ray diffraction stick pattern, Cu Kα, 1.54184 Å. Input: a cell relaxed with GGA-PBE.
Lines closer than 0.1° are merged.

Top 8 peaks for 10 to 90 degrees two-theta, in order of rising 2θ:
Position (°2θ), intensity
32.70, 42
36.68, 92
38.51, 100
41.20, 22
41.98, 14
61.02, 12
62.33, 16
77.95, 13

Structure:
```
TbAg2Au
1.0
5.470 0.000 0.000
0.000 3.660 4.142
0.000 -3.660 4.142
Tb Ag Au
2 4 2
Direct
0.250 0.216 0.784
0.750 0.784 0.216
0.000 0.721 0.721
0.250 0.511 0.232
0.500 0.721 0.721
0.750 0.232 0.511
0.250 0.004 0.306
0.750 0.306 0.004
```


[10]
# Tb3Ag3Au2
Simulated X-ray diffraction stick pattern, Cu Kα, 1.54184 Å. Input: a cell relaxed with GGA-PBE.
Lines closer than 0.1° are merged.

Top 8 peaks for 10 to 90 degrees two-theta, in order of rising 2θ:
Position (°2θ), intensity
33.67, 100
36.29, 48
36.44, 42
41.36, 24
43.83, 17
48.59, 15
62.13, 19
70.53, 20

Structure:
```
Tb3Ag3Au2
1.0
7.562 0.000 0.000
-3.781 6.549 0.000
0.000 0.000 3.748
Tb Ag Au
3 3 2
Direct
0.000 0.396 0.000
0.396 0.000 0.000
0.604 0.604 0.000
0.000 0.774 0.500
0.226 0.226 0.500
0.774 0.000 0.500
0.333 0.667 0.500
0.667 0.333 0.500
```


[11]
# TcAg2Au
Simulated X-ray diffraction stick pattern, Cu Kα, 1.54184 Å. Input: a cell relaxed with GGA-PBE.
Lines closer than 0.1° are merged.

Top 8 peaks for 10 to 90 degrees two-theta, in order of rising 2θ:
Position (°2θ), intensity
10.01, 14
38.46, 100
40.85, 21
46.53, 29
63.62, 22
72.78, 14
80.85, 23
82.39, 11

Structure:
```
TcAg2Au
1.0
2.760 0.000 0.000
0.000 2.760 0.000
0.000 0.000 8.837
Tc Ag Au
1 2 1
Direct
0.000 0.000 0.000
0.000 0.000 0.501
0.500 0.500 0.245
0.500 0.500 0.760
```


[12]
# TcAg2Au
Simulated X-ray diffraction stick pattern, Cu Kα, 1.54184 Å. Input: a cell relaxed with GGA-PBE.
Lines closer than 0.1° are merged.

Top 8 peaks for 10 to 90 degrees two-theta, in order of rising 2θ:
Position (°2θ), intensity
36.99, 100
39.35, 86
43.41, 32
44.86, 58
64.20, 39
75.42, 12
76.01, 22
80.48, 20

Structure:
```
TcAg2Au
1.0
2.740 0.000 0.000
0.000 4.169 0.000
0.000 0.000 5.982
Tc Ag Au
1 2 1
Direct
0.000 0.000 0.000
0.000 0.000 0.503
0.500 0.500 0.255
0.500 0.500 0.777
```


[13]
# Tc2AgAu
Simulated X-ray diffraction stick pattern, Cu Kα, 1.54184 Å. Input: a cell relaxed with GGA-PBE.
Lines closer than 0.1° are merged.

Top 8 peaks for 10 to 90 degrees two-theta, in order of rising 2θ:
Position (°2θ), intensity
11.18, 9
32.95, 11
38.54, 100
44.25, 36
45.86, 14
64.37, 12
65.63, 17
77.60, 25

Structure:
```
Tc2AgAu
1.0
2.894 0.000 0.000
0.000 2.894 0.000
0.000 0.000 7.914
Tc Ag Au
2 1 1
Direct
0.000 0.000 0.000
0.500 0.500 0.188
0.000 0.000 0.462
0.500 0.500 0.730
```


[14]
# Ag2Te5Au2
Simulated X-ray diffraction stick pattern, Cu Kα, 1.54184 Å. Input: a cell relaxed with GGA-PBE.
Lines closer than 0.1° are merged.

Top 8 peaks for 10 to 90 degrees two-theta, in order of rising 2θ:
Position (°2θ), intensity
25.85, 30
27.64, 100
27.84, 73
33.49, 49
33.59, 48
43.44, 39
44.66, 29
52.27, 34

Structure:
```
Ag2Te5Au2
1.0
4.167 0.000 0.000
-0.026 7.601 0.000
-2.079 -2.141 8.132
Ag Te Au
2 5 2
Direct
0.075 0.327 0.149
0.925 0.673 0.851
0.216 0.643 0.433
0.412 0.912 0.822
0.500 0.500 0.000
0.588 0.088 0.178
0.784 0.357 0.567
0.348 0.207 0.699
0.652 0.793 0.301
```